Entry 1:
Theoretical powder XRD pattern of Li3Pr2Hg4 for CuKα, from the GGA-PBE geometry in Alexandria.
Intensities are scaled so that the largest is 100.

Cell and atoms:
```
data_Li3Pr2Hg4
_chemical_formula_sum 'Li6 Pr4 Hg8'
_symmetry_space_group_name_H-M 'P 1'
_symmetry_Int_Tables_number 1
_cell_length_a 8.628
_cell_length_b 8.628
_cell_length_c 8.332
_cell_angle_alpha 90.00
_cell_angle_beta 90.00
_cell_angle_gamma 137.75
loop_
_symmetry_equiv_pos_as_xyz
'x,y,z'
loop_
_atom_site_label
_atom_site_type_symbol
_atom_site_fract_x
_atom_site_fract_y
_atom_site_fract_z
Li1 Li 0.000 0.000 0.000
Li2 Li 0.033 0.467 0.250
Li3 Li 0.467 0.033 0.750
Li4 Li 0.500 0.500 0.500
Li5 Li 0.533 0.967 0.250
Li6 Li 0.967 0.533 0.750
Pr1 Pr 0.118 0.882 0.420
Pr2 Pr 0.382 0.618 0.920
Pr3 Pr 0.618 0.382 0.080
Pr4 Pr 0.882 0.118 0.580
Hg1 Hg 0.182 0.818 0.037
Hg2 Hg 0.204 0.296 0.250
Hg3 Hg 0.296 0.204 0.750
Hg4 Hg 0.318 0.682 0.537
Hg5 Hg 0.682 0.318 0.463
Hg6 Hg 0.704 0.796 0.250
Hg7 Hg 0.796 0.704 0.750
Hg8 Hg 0.818 0.182 0.963
```

Main lines, in order of rising 2θ (15 to 90 degrees two-theta):
| two_theta | intensity |
| --- | --- |
| 24.05 | 94 |
| 24.37 | 29 |
| 24.57 | 55 |
| 30.80 | 75 |
| 32.69 | 56 |
| 33.13 | 88 |
| 34.15 | 65 |
| 36.04 | 100 |
| 49.49 | 30 |
| 64.51 | 30 |

Entry 2:
Theoretical powder XRD pattern of Li2PrHg2 for CuKα, from the GGA-PBE geometry in Alexandria.
Intensities are scaled so that the largest is 100.

Cell and atoms:
```
data_Li2PrHg2
_chemical_formula_sum 'Li4 Pr2 Hg4'
_symmetry_space_group_name_H-M 'P 1'
_symmetry_Int_Tables_number 1
_cell_length_a 8.748
_cell_length_b 5.029
_cell_length_c 5.540
_cell_angle_alpha 90.00
_cell_angle_beta 118.43
_cell_angle_gamma 90.00
loop_
_symmetry_equiv_pos_as_xyz
'x,y,z'
loop_
_atom_site_label
_atom_site_type_symbol
_atom_site_fract_x
_atom_site_fract_y
_atom_site_fract_z
Li1 Li 0.094 0.000 0.245
Li2 Li 0.406 0.500 0.755
Li3 Li 0.594 0.500 0.245
Li4 Li 0.906 0.000 0.755
Pr1 Pr 0.000 0.500 0.500
Pr2 Pr 0.500 0.000 0.500
Hg1 Hg 0.231 0.500 0.170
Hg2 Hg 0.269 0.000 0.830
Hg3 Hg 0.731 0.000 0.170
Hg4 Hg 0.769 0.500 0.830
```

Main lines, in order of rising 2θ (15 to 90 degrees two-theta):
| two_theta | intensity |
| --- | --- |
| 21.11 | 27 |
| 21.57 | 22 |
| 23.12 | 19 |
| 24.07 | 29 |
| 31.50 | 65 |
| 32.85 | 25 |
| 35.66 | 100 |
| 35.98 | 19 |
| 37.54 | 41 |
| 49.30 | 16 |

Entry 3:
Theoretical powder XRD pattern of Li5Pr2Hg3 for CuKα, from the GGA-PBE geometry in Alexandria.
Intensities are scaled so that the largest is 100.

Cell and atoms:
```
data_Li5Pr2Hg3
_chemical_formula_sum 'Li10 Pr4 Hg6'
_symmetry_space_group_name_H-M 'P 1'
_symmetry_Int_Tables_number 1
_cell_length_a 9.209
_cell_length_b 9.209
_cell_length_c 9.209
_cell_angle_alpha 96.65
_cell_angle_beta 95.79
_cell_angle_gamma 141.57
loop_
_symmetry_equiv_pos_as_xyz
'x,y,z'
loop_
_atom_site_label
_atom_site_type_symbol
_atom_site_fract_x
_atom_site_fract_y
_atom_site_fract_z
Li1 Li 0.120 0.641 0.761
Li2 Li 0.250 0.025 0.775
Li3 Li 0.250 0.250 0.000
Li4 Li 0.250 0.475 0.225
Li5 Li 0.380 0.141 0.521
Li6 Li 0.620 0.859 0.479
Li7 Li 0.750 0.525 0.775
Li8 Li 0.750 0.750 0.000
Li9 Li 0.750 0.975 0.225
Li10 Li 0.880 0.359 0.239
Pr1 Pr 0.229 0.388 0.617
Pr2 Pr 0.271 0.888 0.158
Pr3 Pr 0.729 0.112 0.842
Pr4 Pr 0.771 0.612 0.383
Hg1 Hg 0.159 0.129 0.288
Hg2 Hg 0.250 0.750 0.500
Hg3 Hg 0.341 0.629 0.971
Hg4 Hg 0.659 0.371 0.029
Hg5 Hg 0.750 0.250 0.500
Hg6 Hg 0.841 0.871 0.712
```

Main lines, in order of rising 2θ (15 to 90 degrees two-theta):
| two_theta | intensity |
| --- | --- |
| 21.79 | 100 |
| 22.79 | 67 |
| 22.95 | 53 |
| 30.06 | 93 |
| 31.25 | 42 |
| 32.65 | 78 |
| 32.92 | 86 |
| 41.95 | 78 |
| 42.18 | 73 |
| 61.16 | 38 |

Entry 4:
Theoretical powder XRD pattern of Li3Hg2Pt for CuKα, from the GGA-PBE geometry in Alexandria.
Intensities are scaled so that the largest is 100.

Cell and atoms:
```
data_Li3Hg2Pt
_chemical_formula_sum 'Li6 Hg4 Pt2'
_symmetry_space_group_name_H-M 'P 1'
_symmetry_Int_Tables_number 1
_cell_length_a 4.626
_cell_length_b 6.076
_cell_length_c 7.242
_cell_angle_alpha 90.00
_cell_angle_beta 105.84
_cell_angle_gamma 90.00
loop_
_symmetry_equiv_pos_as_xyz
'x,y,z'
loop_
_atom_site_label
_atom_site_type_symbol
_atom_site_fract_x
_atom_site_fract_y
_atom_site_fract_z
Li1 Li 0.000 0.230 0.000
Li2 Li 0.000 0.770 0.000
Li3 Li 0.336 0.221 0.649
Li4 Li 0.336 0.779 0.649
Li5 Li 0.664 0.221 0.351
Li6 Li 0.664 0.779 0.351
Hg1 Hg 0.156 0.500 0.329
Hg2 Hg 0.500 0.000 0.000
Hg3 Hg 0.500 0.500 0.000
Hg4 Hg 0.844 0.500 0.671
Pt1 Pt 0.150 0.000 0.326
Pt2 Pt 0.850 0.000 0.674
```

Main lines, in order of rising 2θ (15 to 90 degrees two-theta):
| two_theta | intensity |
| --- | --- |
| 26.54 | 100 |
| 27.88 | 90 |
| 29.40 | 79 |
| 38.77 | 42 |
| 38.98 | 41 |
| 40.02 | 76 |
| 40.97 | 72 |
| 49.40 | 38 |
| 49.57 | 38 |
| 63.28 | 18 |

Entry 5:
Theoretical powder XRD pattern of Li3Hg2Pt3 for CuKα, from the GGA-PBE geometry in Alexandria.
Intensities are scaled so that the largest is 100.

Cell and atoms:
```
data_Li3Hg2Pt3
_chemical_formula_sum 'Li3 Hg2 Pt3'
_symmetry_space_group_name_H-M 'P 1'
_symmetry_Int_Tables_number 1
_cell_length_a 5.036
_cell_length_b 5.036
_cell_length_c 5.036
_cell_angle_alpha 88.99
_cell_angle_beta 88.99
_cell_angle_gamma 88.99
loop_
_symmetry_equiv_pos_as_xyz
'x,y,z'
loop_
_atom_site_label
_atom_site_type_symbol
_atom_site_fract_x
_atom_site_fract_y
_atom_site_fract_z
Li1 Li 0.000 0.269 0.731
Li2 Li 0.269 0.731 0.000
Li3 Li 0.731 0.000 0.269
Hg1 Hg 0.231 0.231 0.231
Hg2 Hg 0.769 0.769 0.769
Pt1 Pt 0.264 0.736 0.500
Pt2 Pt 0.500 0.264 0.736
Pt3 Pt 0.736 0.500 0.264
```

Main lines, in order of rising 2θ (15 to 90 degrees two-theta):
| two_theta | intensity |
| --- | --- |
| 17.62 | 28 |
| 25.23 | 69 |
| 30.21 | 42 |
| 35.67 | 56 |
| 39.75 | 32 |
| 40.33 | 59 |
| 43.38 | 34 |
| 44.19 | 100 |
| 44.46 | 23 |
| 70.60 | 22 |

Entry 6:
Theoretical powder XRD pattern of Li4HgPt for CuKα, from the GGA-PBE geometry in Alexandria.
Intensities are scaled so that the largest is 100.

Cell and atoms:
```
data_Li4HgPt
_chemical_formula_sum 'Li4 Hg1 Pt1'
_symmetry_space_group_name_H-M 'P 1'
_symmetry_Int_Tables_number 1
_cell_length_a 2.744
_cell_length_b 4.386
_cell_length_c 7.710
_cell_angle_alpha 90.00
_cell_angle_beta 90.00
_cell_angle_gamma 90.00
loop_
_symmetry_equiv_pos_as_xyz
'x,y,z'
loop_
_atom_site_label
_atom_site_type_symbol
_atom_site_fract_x
_atom_site_fract_y
_atom_site_fract_z
Li1 Li 0.000 0.000 0.152
Li2 Li 0.000 0.000 0.848
Li3 Li 0.000 0.500 0.312
Li4 Li 0.000 0.500 0.688
Hg1 Hg 0.500 0.000 0.500
Pt1 Pt 0.500 0.500 0.000
```

Main lines, in order of rising 2θ (15 to 90 degrees two-theta):
| two_theta | intensity |
| --- | --- |
| 23.07 | 51 |
| 23.33 | 100 |
| 32.63 | 21 |
| 40.34 | 27 |
| 40.50 | 54 |
| 40.69 | 28 |
| 41.16 | 14 |
| 47.71 | 15 |
| 53.10 | 21 |
| 59.00 | 18 |

Entry 7:
Theoretical powder XRD pattern of Li6Hg5Pt for CuKα, from the GGA-PBE geometry in Alexandria.
Intensities are scaled so that the largest is 100.

Cell and atoms:
```
data_Li6Hg5Pt
_chemical_formula_sum 'Li6 Hg5 Pt1'
_symmetry_space_group_name_H-M 'P 1'
_symmetry_Int_Tables_number 1
_cell_length_a 7.889
_cell_length_b 7.889
_cell_length_c 4.469
_cell_angle_alpha 106.05
_cell_angle_beta 106.05
_cell_angle_gamma 51.74
loop_
_symmetry_equiv_pos_as_xyz
'x,y,z'
loop_
_atom_site_label
_atom_site_type_symbol
_atom_site_fract_x
_atom_site_fract_y
_atom_site_fract_z
Li1 Li 0.081 0.601 0.341
Li2 Li 0.233 0.767 0.000
Li3 Li 0.399 0.919 0.659
Li4 Li 0.601 0.081 0.341
Li5 Li 0.767 0.233 0.000
Li6 Li 0.919 0.399 0.659
Hg1 Hg 0.162 0.162 0.163
Hg2 Hg 0.331 0.331 0.832
Hg3 Hg 0.500 0.500 0.500
Hg4 Hg 0.669 0.669 0.168
Hg5 Hg 0.838 0.838 0.837
Pt1 Pt 0.000 0.000 0.500
```

Main lines, in order of rising 2θ (15 to 90 degrees two-theta):
| two_theta | intensity |
| --- | --- |
| 25.88 | 100 |
| 28.02 | 82 |
| 28.24 | 80 |
| 38.51 | 80 |
| 38.68 | 79 |
| 40.05 | 35 |
| 40.37 | 35 |
| 48.30 | 38 |
| 48.58 | 38 |
| 61.22 | 19 |

Entry 8:
Theoretical powder XRD pattern of Li8Hg2Pt for CuKα, from the GGA-PBE geometry in Alexandria.
Intensities are scaled so that the largest is 100.

Cell and atoms:
```
data_Li8Hg2Pt
_chemical_formula_sum 'Li8 Hg2 Pt1'
_symmetry_space_group_name_H-M 'P 1'
_symmetry_Int_Tables_number 1
_cell_length_a 7.595
_cell_length_b 7.595
_cell_length_c 7.595
_cell_angle_alpha 145.86
_cell_angle_beta 129.67
_cell_angle_gamma 62.23
loop_
_symmetry_equiv_pos_as_xyz
'x,y,z'
loop_
_atom_site_label
_atom_site_type_symbol
_atom_site_fract_x
_atom_site_fract_y
_atom_site_fract_z
Li1 Li 0.138 0.363 0.775
Li2 Li 0.157 0.157 0.000
Li3 Li 0.269 0.000 0.269
Li4 Li 0.412 0.637 0.775
Li5 Li 0.588 0.363 0.225
Li6 Li 0.731 0.000 0.731
Li7 Li 0.843 0.843 0.000
Li8 Li 0.862 0.637 0.225
Hg1 Hg 0.306 0.806 0.500
Hg2 Hg 0.694 0.194 0.500
Pt1 Pt 0.000 0.500 0.500
```

Main lines, in order of rising 2θ (15 to 90 degrees two-theta):
| two_theta | intensity |
| --- | --- |
| 24.26 | 100 |
| 24.73 | 81 |
| 27.62 | 36 |
| 28.72 | 54 |
| 40.27 | 54 |
| 40.46 | 16 |
| 46.86 | 18 |
| 47.13 | 14 |
| 48.00 | 28 |
| 49.69 | 15 |

Entry 9:
Theoretical powder XRD pattern of LiPu3Hg12 for CuKα, from the GGA-PBE geometry in Alexandria.
Intensities are scaled so that the largest is 100.

Cell and atoms:
```
data_LiPu3Hg12
_chemical_formula_sum 'Li1 Pu3 Hg12'
_symmetry_space_group_name_H-M 'P 1'
_symmetry_Int_Tables_number 1
_cell_length_a 4.645
_cell_length_b 4.677
_cell_length_c 18.563
_cell_angle_alpha 90.00
_cell_angle_beta 90.00
_cell_angle_gamma 90.00
loop_
_symmetry_equiv_pos_as_xyz
'x,y,z'
loop_
_atom_site_label
_atom_site_type_symbol
_atom_site_fract_x
_atom_site_fract_y
_atom_site_fract_z
Li1 Li 0.000 0.000 0.000
Pu1 Pu 0.000 0.000 0.241
Pu2 Pu 0.000 0.000 0.500
Pu3 Pu 0.000 0.000 0.759
Hg1 Hg 0.000 0.500 0.116
Hg2 Hg 0.000 0.500 0.371
Hg3 Hg 0.000 0.500 0.629
Hg4 Hg 0.000 0.500 0.884
Hg5 Hg 0.500 0.000 0.115
Hg6 Hg 0.500 0.000 0.371
Hg7 Hg 0.500 0.000 0.629
Hg8 Hg 0.500 0.000 0.885
Hg9 Hg 0.500 0.500 0.000
Hg10 Hg 0.500 0.500 0.244
Hg11 Hg 0.500 0.500 0.500
Hg12 Hg 0.500 0.500 0.756
```

Main lines, in order of rising 2θ (15 to 90 degrees two-theta):
| two_theta | intensity |
| --- | --- |
| 30.74 | 4 |
| 33.35 | 100 |
| 38.50 | 18 |
| 38.79 | 33 |
| 55.80 | 23 |
| 56.03 | 11 |
| 66.38 | 14 |
| 66.78 | 26 |
| 70.03 | 11 |
| 83.23 | 3 |

Entry 10:
Theoretical powder XRD pattern of RbLiHg14 for CuKα, from the GGA-PBE geometry in Alexandria.
Intensities are scaled so that the largest is 100.

Cell and atoms:
```
data_RbLiHg14
_chemical_formula_sum 'Rb2 Li2 Hg28'
_symmetry_space_group_name_H-M 'P 1'
_symmetry_Int_Tables_number 1
_cell_length_a 9.800
_cell_length_b 9.800
_cell_length_c 10.959
_cell_angle_alpha 109.38
_cell_angle_beta 109.38
_cell_angle_gamma 90.62
loop_
_symmetry_equiv_pos_as_xyz
'x,y,z'
loop_
_atom_site_label
_atom_site_type_symbol
_atom_site_fract_x
_atom_site_fract_y
_atom_site_fract_z
Rb1 Rb 0.171 0.829 0.750
Rb2 Rb 0.829 0.171 0.250
Li1 Li 0.000 0.500 0.000
Li2 Li 0.500 0.000 0.500
Hg1 Hg 0.016 0.566 0.305
Hg2 Hg 0.085 0.900 0.081
Hg3 Hg 0.100 0.915 0.419
Hg4 Hg 0.160 0.262 0.860
Hg5 Hg 0.171 0.332 0.163
Hg6 Hg 0.180 0.438 0.531
Hg7 Hg 0.262 0.160 0.360
Hg8 Hg 0.287 0.641 0.092
Hg9 Hg 0.332 0.171 0.663
Hg10 Hg 0.359 0.713 0.408
Hg11 Hg 0.397 0.501 0.851
Hg12 Hg 0.434 0.984 0.195
Hg13 Hg 0.438 0.180 0.031
Hg14 Hg 0.499 0.603 0.649
Hg15 Hg 0.501 0.397 0.351
Hg16 Hg 0.562 0.820 0.969
Hg17 Hg 0.566 0.016 0.805
Hg18 Hg 0.603 0.499 0.149
Hg19 Hg 0.641 0.287 0.592
Hg20 Hg 0.668 0.829 0.337
Hg21 Hg 0.713 0.359 0.908
Hg22 Hg 0.738 0.840 0.640
Hg23 Hg 0.820 0.562 0.469
Hg24 Hg 0.829 0.668 0.837
Hg25 Hg 0.840 0.738 0.140
Hg26 Hg 0.900 0.085 0.581
Hg27 Hg 0.915 0.100 0.919
Hg28 Hg 0.984 0.434 0.695
```

Main lines, in order of rising 2θ (15 to 90 degrees two-theta):
| two_theta | intensity |
| --- | --- |
| 26.77 | 44 |
| 28.81 | 68 |
| 29.28 | 100 |
| 29.40 | 85 |
| 29.91 | 51 |
| 31.68 | 77 |
| 34.13 | 46 |
| 37.25 | 56 |
| 37.48 | 77 |
| 39.35 | 57 |

Entry 11:
Theoretical powder XRD pattern of Rb2LiHgSb2 for CuKα, from the GGA-PBE geometry in Alexandria.
Intensities are scaled so that the largest is 100.

Cell and atoms:
```
data_Rb2LiHgSb2
_chemical_formula_sum 'Rb4 Li2 Hg2 Sb4'
_symmetry_space_group_name_H-M 'P 1'
_symmetry_Int_Tables_number 1
_cell_length_a 9.760
_cell_length_b 9.760
_cell_length_c 9.760
_cell_angle_alpha 138.19
_cell_angle_beta 61.51
_cell_angle_gamma 137.02
loop_
_symmetry_equiv_pos_as_xyz
'x,y,z'
loop_
_atom_site_label
_atom_site_type_symbol
_atom_site_fract_x
_atom_site_fract_y
_atom_site_fract_z
Rb1 Rb 0.168 0.247 0.416
Rb2 Rb 0.332 0.747 0.079
Rb3 Rb 0.668 0.253 0.921
Rb4 Rb 0.832 0.753 0.584
Li1 Li 0.250 0.750 0.500
Li2 Li 0.750 0.250 0.500
Hg1 Hg 0.250 0.250 0.000
Hg2 Hg 0.750 0.750 0.000
Sb1 Sb 0.094 0.749 0.843
Sb2 Sb 0.406 0.249 0.654
Sb3 Sb 0.594 0.751 0.346
Sb4 Sb 0.906 0.251 0.157
```

Main lines, in order of rising 2θ (15 to 90 degrees two-theta):
| two_theta | intensity |
| --- | --- |
| 20.37 | 31 |
| 27.78 | 100 |
| 28.56 | 28 |
| 32.38 | 21 |
| 32.92 | 54 |
| 33.45 | 52 |
| 36.00 | 78 |
| 45.68 | 21 |
| 46.48 | 20 |
| 47.00 | 35 |

Entry 12:
Theoretical powder XRD pattern of Li6HgRh for CuKα, from the GGA-PBE geometry in Alexandria.
Intensities are scaled so that the largest is 100.

Cell and atoms:
```
data_Li6HgRh
_chemical_formula_sum 'Li12 Hg2 Rh2'
_symmetry_space_group_name_H-M 'P 1'
_symmetry_Int_Tables_number 1
_cell_length_a 4.608
_cell_length_b 5.602
_cell_length_c 9.716
_cell_angle_alpha 90.00
_cell_angle_beta 90.00
_cell_angle_gamma 90.00
loop_
_symmetry_equiv_pos_as_xyz
'x,y,z'
loop_
_atom_site_label
_atom_site_type_symbol
_atom_site_fract_x
_atom_site_fract_y
_atom_site_fract_z
Li1 Li 0.000 0.000 0.000
Li2 Li 0.000 0.231 0.770
Li3 Li 0.000 0.269 0.270
Li4 Li 0.000 0.500 0.500
Li5 Li 0.000 0.731 0.270
Li6 Li 0.000 0.769 0.770
Li7 Li 0.500 0.000 0.349
Li8 Li 0.500 0.248 0.596
Li9 Li 0.500 0.252 0.096
Li10 Li 0.500 0.500 0.849
Li11 Li 0.500 0.748 0.096
Li12 Li 0.500 0.752 0.596
Hg1 Hg 0.000 0.000 0.514
Hg2 Hg 0.000 0.500 0.014
Rh1 Rh 0.500 0.000 0.847
Rh2 Rh 0.500 0.500 0.347
```

Main lines, in order of rising 2θ (15 to 90 degrees two-theta):
| two_theta | intensity |
| --- | --- |
| 18.28 | 51 |
| 26.67 | 100 |
| 31.93 | 41 |
| 37.04 | 11 |
| 39.10 | 10 |
| 42.08 | 39 |
| 43.48 | 12 |
| 51.34 | 22 |
| 53.78 | 30 |
| 73.24 | 12 |